This entry pairs a crystal structure of Ag4Se2Cl with its computed PXRD pattern. Radiation: Cu Kα X-rays. Structure: a cell relaxed with GGA-PBE.
Intensities are scaled so that the largest is 100.

Crystal structure
abc: 3.893 14.158 12.047
angles: 90.00 90.00 90.00
Space group Pbcm (No. 57)
One atom of each set of equivalent atoms:
Ag: 0.093 0.250 0.000 [4 per cell]
Ag: 0.164 0.508 0.122 [8 per cell]
Ag: 0.356 0.621 0.750 [4 per cell]
Se: 0.410 0.628 0.541 [8 per cell]
Cl: 0.143 0.124 0.250 [4 per cell]

The 10 most intense peaks (5° ≤ 2θ ≤ 70°), sorted by position:
12.50 deg, intensity 46
14.51 deg, intensity 52
27.17 deg, intensity 44
29.73 deg, intensity 43
30.68 deg, intensity 91
32.30 deg, intensity 86
32.65 deg, intensity 52
34.24 deg, intensity 100
39.29 deg, intensity 57
40.08 deg, intensity 46

This entry pairs a crystal structure of Cd3Ag2Au3 with its computed PXRD pattern. Radiation: Cu Kα X-rays. Structure: a cell relaxed with GGA-PBE.
Intensities are scaled so that the largest is 100.

Crystal structure
abc: 13.747 4.825 4.904
angles: 90.00 110.46 90.00
Space group C2/m (No. 12)
One atom of each set of equivalent atoms:
Cd: 0.000 0.000 0.000 [2 per cell]
Cd: 0.130 0.000 0.629 [4 per cell]
Ag: 0.250 0.000 0.248 [4 per cell]
Au: 0.000 0.500 0.500 [2 per cell]
Au: 0.127 0.500 0.129 [4 per cell]

The 10 most intense peaks (5° ≤ 2θ ≤ 70°), sorted by position:
36.65 deg, intensity 56
37.27 deg, intensity 54
38.18 deg, intensity 100
38.40 deg, intensity 98
53.27 deg, intensity 39
57.22 deg, intensity 15
66.87 deg, intensity 19
67.30 deg, intensity 18
67.82 deg, intensity 18
67.96 deg, intensity 18

This entry pairs a crystal structure of ZnFeCuIr with its computed PXRD pattern. Radiation: Cu Kα X-rays. Structure: a cell relaxed with GGA-PBE.
Intensities are scaled so that the largest is 100.

Crystal structure
abc: 5.968 5.968 5.968
angles: 90.00 90.00 90.00
Space group F-43m (No. 216)
One atom of each set of equivalent atoms:
Zn: 0.000 0.000 0.000 [4 per cell]
Fe: 0.000 0.000 0.500 [4 per cell]
Cu: 0.250 0.250 0.250 [4 per cell]
Ir: 0.250 0.250 0.750 [4 per cell]

The 7 most intense peaks (5° ≤ 2θ ≤ 70°), sorted by position:
25.86 deg, intensity 24
29.95 deg, intensity 14
42.86 deg, intensity 100
50.74 deg, intensity 12
53.17 deg, intensity 4
62.23 deg, intensity 16
68.54 deg, intensity 5

This entry pairs a crystal structure of Ba7Ag4Pd with its computed PXRD pattern. Radiation: Cu Kα X-rays. Structure: a cell relaxed with GGA-PBE.
Intensities are scaled so that the largest is 100.

Crystal structure
abc: 15.818 4.712 14.419
angles: 90.00 105.26 90.00
Space group Cm (No. 8)
One atom of each set of equivalent atoms:
Ba: 0.000 0.000 0.000 [2 per cell]
Ba: 0.025 0.500 0.276 [2 per cell]
Ba: 0.099 0.500 0.586 [2 per cell]
Ba: 0.219 0.000 0.853 [2 per cell]
Ba: 0.246 0.500 0.140 [2 per cell]
Ba: 0.284 0.000 0.410 [2 per cell]
Ba: 0.408 0.500 0.682 [2 per cell]
Ag: 0.054 0.500 0.829 [2 per cell]
Ag: 0.253 0.000 0.633 [2 per cell]
Ag: 0.372 0.000 0.065 [2 per cell]
Ag: 0.453 0.500 0.441 [2 per cell]
Pd: 0.138 0.000 0.208 [2 per cell]

The 10 most intense peaks (5° ≤ 2θ ≤ 70°), sorted by position:
24.96 deg, intensity 67
25.19 deg, intensity 62
25.41 deg, intensity 75
25.77 deg, intensity 55
26.66 deg, intensity 100
27.68 deg, intensity 68
29.33 deg, intensity 54
33.77 deg, intensity 42
37.93 deg, intensity 40
38.20 deg, intensity 66

This entry pairs a crystal structure of ThCoSi2Ni2 with its computed PXRD pattern. Radiation: Cu Kα X-rays. Structure: a cell relaxed with GGA-PBE.
Intensities are scaled so that the largest is 100.

Crystal structure
abc: 4.325 4.325 5.133
angles: 90.00 90.00 90.00
Space group P4/mmm (No. 123)
One atom of each set of equivalent atoms:
Th: 0.000 0.000 0.000 [1 per cell]
Co: 0.000 0.000 0.500 [1 per cell]
Si: 0.000 0.500 0.500 [2 per cell]
Ni: 0.500 0.500 0.246 [2 per cell]

The 10 most intense peaks (5° ≤ 2θ ≤ 70°), sorted by position:
20.53 deg, intensity 39
26.96 deg, intensity 42
29.20 deg, intensity 92
34.13 deg, intensity 47
40.89 deg, intensity 100
41.77 deg, intensity 61
50.42 deg, intensity 17
59.88 deg, intensity 64
60.55 deg, intensity 20
68.61 deg, intensity 16

This entry pairs a crystal structure of Sr3ScB3O9 with its computed PXRD pattern. Radiation: Cu Kα X-rays. Structure: a cell relaxed with GGA-PBE.
Intensities are scaled so that the largest is 100.

Crystal structure
abc: 12.2777 12.2777 9.2860
angles: 90.00 90.00 120.00
Space group R-3 (No. 148, hexagonal axes)
One atom of each set of equivalent atoms:
Sr: 0.0405 0.4689 0.3091 [18 per cell]
Sc: 0.0000 0.0000 0.0000 [3 per cell]
Sc: 0.0000 0.0000 0.5000 [3 per cell]
B: 0.0542 0.1927 0.2340 [18 per cell]
O: 0.0012 0.2626 0.1894 [18 per cell]
O: 0.0385 0.8820 0.1383 [18 per cell]
O: 0.0517 0.1637 0.3800 [18 per cell]

The 10 most intense peaks (5° ≤ 2θ ≤ 70°), sorted by position:
24.13 deg, intensity 43
29.39 deg, intensity 100
31.84 deg, intensity 48
36.08 deg, intensity 30
38.14 deg, intensity 28
38.81 deg, intensity 22
41.43 deg, intensity 21
45.10 deg, intensity 27
48.68 deg, intensity 21
49.07 deg, intensity 28

This entry pairs a crystal structure of GaCo4B with its computed PXRD pattern. Radiation: Cu Kα X-rays. Structure: a cell relaxed with GGA-PBE.
Intensities are scaled so that the largest is 100.

Crystal structure
abc: 3.443 3.443 5.978
angles: 90.00 90.00 90.00
Space group P4/mmm (No. 123)
One atom of each set of equivalent atoms:
Ga: 0.000 0.000 0.000 [1 per cell]
Co: 0.000 0.500 0.302 [4 per cell]
B: 0.500 0.500 0.500 [1 per cell]

The 10 most intense peaks (5° ≤ 2θ ≤ 70°), sorted by position:
25.88 deg, intensity 15
29.93 deg, intensity 51
36.92 deg, intensity 40
39.98 deg, intensity 59
45.52 deg, intensity 29
48.21 deg, intensity 100
53.11 deg, intensity 6
53.21 deg, intensity 51
60.01 deg, intensity 15
62.25 deg, intensity 15

This entry pairs a crystal structure of CeGaNi2 with its computed PXRD pattern. Radiation: Cu Kα X-rays. Structure: a cell relaxed with GGA-PBE.
Intensities are scaled so that the largest is 100.

Crystal structure
abc: 7.314 6.414 5.690
angles: 90.00 90.00 90.00
Space group Pnma (No. 62)
One atom of each set of equivalent atoms:
Ce: 0.042 0.250 0.173 [4 per cell]
Ga: 0.121 0.750 0.329 [4 per cell]
Ni: 0.172 0.055 0.579 [8 per cell]

The 10 most intense peaks (5° ≤ 2θ ≤ 70°), sorted by position:
27.82 deg, intensity 22
32.27 deg, intensity 62
34.36 deg, intensity 25
36.68 deg, intensity 100
37.29 deg, intensity 51
40.22 deg, intensity 58
40.64 deg, intensity 70
42.47 deg, intensity 33
47.07 deg, intensity 27
54.63 deg, intensity 18

This entry pairs a crystal structure of Ba2Li2PrS4 with its computed PXRD pattern. Radiation: Cu Kα X-rays. Structure: a cell relaxed with GGA-PBE.
Intensities are scaled so that the largest is 100.

Crystal structure
abc: 15.210 4.129 7.440
angles: 90.00 110.02 90.00
Space group C2/m (No. 12)
One atom of each set of equivalent atoms:
Ba: 0.133 0.000 0.058 [4 per cell]
Li: 0.182 0.500 0.495 [4 per cell]
Pr: 0.000 0.000 0.500 [2 per cell]
S: 0.024 0.500 0.250 [4 per cell]
S: 0.207 0.000 0.692 [4 per cell]

The 10 most intense peaks (5° ≤ 2θ ≤ 70°), sorted by position:
12.39 deg, intensity 27
20.59 deg, intensity 30
22.41 deg, intensity 72
23.77 deg, intensity 44
24.21 deg, intensity 37
28.60 deg, intensity 56
31.79 deg, intensity 47
32.49 deg, intensity 100
33.99 deg, intensity 68
36.76 deg, intensity 52

Repeat the second record exactly.
This entry pairs a crystal structure of Cd3Ag2Au3 with its computed PXRD pattern. Radiation: Cu Kα X-rays. Structure: a cell relaxed with GGA-PBE.
Intensities are scaled so that the largest is 100.

Crystal structure
abc: 13.747 4.825 4.904
angles: 90.00 110.46 90.00
Space group C2/m (No. 12)
One atom of each set of equivalent atoms:
Cd: 0.000 0.000 0.000 [2 per cell]
Cd: 0.130 0.000 0.629 [4 per cell]
Ag: 0.250 0.000 0.248 [4 per cell]
Au: 0.000 0.500 0.500 [2 per cell]
Au: 0.127 0.500 0.129 [4 per cell]

The 10 most intense peaks (5° ≤ 2θ ≤ 70°), sorted by position:
36.65 deg, intensity 56
37.27 deg, intensity 54
38.18 deg, intensity 100
38.40 deg, intensity 98
53.27 deg, intensity 39
57.22 deg, intensity 15
66.87 deg, intensity 19
67.30 deg, intensity 18
67.82 deg, intensity 18
67.96 deg, intensity 18